The following is a computed PXRD pattern of Li7Mn4CoO12. It was derived from a cell relaxed with PBE+U, using a wavelength of 1.5418 Å.
Kinematic intensities with the Lorentz-polarization factor, no thermal factor.

Peak list (10 most intense, 5 to 70 degrees two-theta, most intense first)
(hkl)	2θ/deg	I (rel.)
1 0 -2	18.40	100
2 1 -1	44.30	57
0 0 6	41.59	32
1 1 1	36.37	24
1 0 4	34.45	20
2 1 -7	62.59	16
0 0 1	6.78	16
2 1 5	62.16	15
1 0 0	15.57	12
3 1 -3	58.40	10

Atomic structure:
```
data_Li7Mn4CoO12
_chemical_formula_sum 'Li7 Mn4 Co1 O12'
_symmetry_space_group_name_H-M 'P 1 m 1'
_symmetry_Int_Tables_number 6
_cell_length_a 5.832
_cell_length_b 2.868
_cell_length_c 13.326
_cell_angle_alpha 90.00
_cell_angle_beta 102.13
_cell_angle_gamma 90.00
loop_
_symmetry_equiv_pos_as_xyz
'x,y,z'
'x,-y,z'
loop_
_atom_site_label
_atom_site_type_symbol
_atom_site_fract_x
_atom_site_fract_y
_atom_site_fract_z
Li1 Li 0.000 0.000 0.000
Li2 Li 0.001 0.500 0.497
Li3 Li 0.333 0.500 0.159
Li4 Li 0.335 0.000 0.671
Li5 Li 0.502 0.000 0.001
Li6 Li 0.666 0.000 0.328
Li7 Li 0.666 0.500 0.843
Mn1 Mn 0.179 0.500 0.847
Mn2 Mn 0.495 0.500 0.496
Mn3 Mn 0.825 0.500 0.156
Mn4 Mn 0.837 0.000 0.671
Co1 Co 0.162 0.000 0.326
O1 O 0.058 0.000 0.165
O2 O 0.069 0.500 0.675
O3 O 0.245 0.500 0.985
O4 O 0.266 0.000 0.500
O5 O 0.385 0.500 0.328
O6 O 0.393 0.000 0.832
O7 O 0.608 0.500 0.670
O8 O 0.610 0.000 0.169
O9 O 0.727 0.000 0.494
O10 O 0.758 0.500 0.018
O11 O 0.935 0.500 0.322
O12 O 0.945 0.000 0.838
```